Structure and simulated X-ray powder pattern of MnPH15C3NCl3O3 (a cell relaxed with GGA+U; Cu Kα, 1.54184 Å).
Peak positions follow from Bragg's law for the DFT cell and can differ from measured ones.

Cell: 6.433 10.865 8.812 Å, 90.00 100.22 90.00°
Fractional positions:
1 Mn 0.017 0.000 0.131
2 Mn 0.983 0.500 0.869
3 P 0.262 0.503 0.249
4 P 0.738 0.003 0.751
5 H 0.015 0.628 0.478
6 H 0.024 0.204 0.694
7 H 0.094 0.389 0.424
8 H 0.110 0.773 0.458
9 H 0.217 0.796 0.000
10 H 0.218 0.289 0.303
11 H 0.248 0.195 0.024
12 H 0.361 0.713 0.316
13 H 0.361 0.993 0.703
14 H 0.375 0.369 0.463
15 H 0.393 0.618 0.485
16 H 0.395 0.859 0.118
17 H 0.420 0.132 0.150
18 H 0.463 0.067 0.884
19 H 0.475 0.903 0.865
20 H 0.525 0.403 0.135
21 H 0.537 0.567 0.116
22 H 0.580 0.632 0.850
23 H 0.605 0.359 0.882
24 H 0.607 0.118 0.515
25 H 0.625 0.869 0.537
26 H 0.639 0.213 0.684
27 H 0.639 0.493 0.297
28 H 0.752 0.695 0.976
29 H 0.782 0.789 0.697
30 H 0.783 0.296 0.000
31 H 0.890 0.273 0.542
32 H 0.906 0.889 0.576
33 H 0.976 0.704 0.306
34 H 0.985 0.128 0.522
35 C 0.235 0.374 0.372
36 C 0.289 0.639 0.375
37 C 0.484 0.991 0.806
38 C 0.516 0.491 0.194
39 C 0.711 0.139 0.625
40 C 0.765 0.874 0.628
41 N 0.084 0.687 0.407
42 N 0.916 0.187 0.593
43 Cl 0.178 0.983 0.422
44 Cl 0.238 0.666 0.811
45 Cl 0.255 0.324 0.843
46 Cl 0.745 0.824 0.157
47 Cl 0.762 0.166 0.189
48 Cl 0.822 0.483 0.578
49 O 0.077 0.519 0.118
50 O 0.241 0.848 0.094
51 O 0.265 0.139 0.115
52 O 0.735 0.639 0.885
53 O 0.759 0.348 0.906
54 O 0.923 0.019 0.882

Main lines, low angle first (2θ = 10–80°):
10.20 deg, intensity 59.3, hkl 0 0 1; 13.99 deg, intensity 71.7, hkl 1 0 0; 16.32 deg, intensity 57.7, hkl 0 2 0; 17.80 deg, intensity 56.1, hkl 1 1 -1; 22.07 deg, intensity 41.6, hkl 0 1 2; 22.78 deg, intensity 100.0, hkl 1 2 -1; 28.15 deg, intensity 52.7, hkl 1 1 2; 29.37 deg, intensity 45.9, hkl 1 3 -1; 32.78 deg, intensity 57.2, hkl 2 2 -1; 37.78 deg, intensity 39.0, hkl 2 3 -1